Computed X-ray diffraction stick pattern of Nd8HoSc2 for Cu Kα, from a PBE-relaxed structure.

Cell and atoms:
a = 5.535 Å, b = 8.452 Å, c = 15.705 Å
α = 90.00°, β = 90.00°, γ = 90.00°
Space group Immm (No. 71)
Symmetry-distinct sites (fractional):
1 Nd 0.000 0.000 0.160
2 Nd 0.000 0.202 0.357
3 Nd 0.000 0.301 0.000
4 Ho 0.000 0.500 0.500
5 Sc 0.000 0.500 0.201

Principal peaks in the range 15° ≤ 2θ ≤ 90°, by angle:
index	d_spacing	Position (°2θ)	I/Imax
1 1 2	3.989	22.3	20
1 1 4	2.995	29.8	32
1 2 3	2.827	31.7	100
2 0 0	2.770	32.3	55
0 0 6	2.618	34.3	18
2 3 1	1.959	46.4	16
2 0 6	1.902	47.8	14
0 3 7	1.755	52.1	13
3 2 3	1.609	57.3	19
1 5 4	1.495	62.1	14